No. 1
Structure and computed X-ray diffraction stick pattern of Cs5Re6S8Cl7 (a GGA-PBE-relaxed structure; Cu Kα (λ = 1.5418 Å)).
Kinematic intensities with the Lorentz-polarization factor, no thermal factor.

Peak list (12 most intense, 10° ≤ 2θ ≤ 90°, in order of rising 2θ)
2θ = 10.64°, 8.315 Å, intensity 100
2θ = 12.01°, 7.370 Å, intensity 64
2θ = 16.39°, 5.408 Å, intensity 14
2θ = 20.11°, 4.416 Å, intensity 33
2θ = 22.86°, 3.890 Å, intensity 19
2θ = 27.83°, 3.206 Å, intensity 11
2θ = 37.32°, 2.409 Å, intensity 17
2θ = 43.57°, 2.077 Å, intensity 25
2θ = 46.85°, 1.939 Å, intensity 12
2θ = 47.31°, 1.921 Å, intensity 9
2θ = 49.02°, 1.858 Å, intensity 10
2θ = 50.20°, 1.817 Å, intensity 10

a = 19.2799 Å, b = 19.2799 Å, c = 19.2799 Å
α = 30.28°, β = 30.28°, γ = 30.28°
Sites, in units of the cell vectors:
Cs  0.0000  0.0000  0.0000
Cs  0.0862  0.3973  0.7755
Cs  0.1748  0.1748  0.1748
Cs  0.2755  0.8973  0.5862
Cs  0.3973  0.7755  0.0862
Cs  0.5000  0.5000  0.5000
Cs  0.5862  0.2755  0.8973
Cs  0.6748  0.6748  0.6748
Cs  0.7755  0.0862  0.3973
Cs  0.8973  0.5862  0.2755
Re  0.1777  0.2976  0.4762
Re  0.1969  0.4953  0.3760
Re  0.2976  0.4762  0.1777
Re  0.3760  0.1969  0.4953
Re  0.4762  0.1777  0.2976
Re  0.4953  0.3760  0.1969
Re  0.6777  0.9762  0.7976
Re  0.6969  0.8760  0.9953
Re  0.7976  0.6777  0.9762
Re  0.8760  0.9954  0.6969
Re  0.9762  0.7976  0.6777
Re  0.9953  0.6969  0.8760
S  0.0246  0.5769  0.3547
S  0.0769  0.5246  0.8547
S  0.0965  0.3186  0.6484
S  0.1484  0.8186  0.5965
S  0.2828  0.2828  0.2828
S  0.3186  0.6484  0.0965
S  0.3547  0.0246  0.5769
S  0.3905  0.3905  0.3905
S  0.5246  0.8547  0.0769
S  0.5769  0.3547  0.0246
S  0.5965  0.1484  0.8186
S  0.6484  0.0965  0.3186
S  0.7828  0.7828  0.7828
S  0.8186  0.5965  0.1484
S  0.8547  0.0769  0.5246
S  0.8905  0.8905  0.8905
Cl  0.0110  0.6998  0.4347
Cl  0.0666  0.0666  0.0666
Cl  0.1619  0.7423  0.4700
Cl  0.1998  0.5110  0.9347
Cl  0.2422  0.6619  0.9700
Cl  0.4347  0.0110  0.6998
Cl  0.4700  0.1619  0.7422
Cl  0.5110  0.9347  0.1998
Cl  0.5666  0.5666  0.5666
Cl  0.6619  0.9700  0.2422
Cl  0.6998  0.4347  0.0110
Cl  0.7422  0.4700  0.1619
Cl  0.9347  0.1998  0.5110
Cl  0.9700  0.2422  0.6619

=====

No. 2
Structure and computed X-ray diffraction stick pattern of NdAlNi4 (a GGA-PBE-relaxed structure; Cu Kα (λ = 1.5418 Å)).
Kinematic intensities with the Lorentz-polarization factor, no thermal factor.

Peak list (12 most intense, 10° ≤ 2θ ≤ 90°, in order of rising 2θ)
2θ = 22.00°, 4.040 Å, intensity 21
2θ = 30.10°, 2.969 Å, intensity 33
2θ = 30.52°, 2.929 Å, intensity 46
2θ = 36.24°, 2.479 Å, intensity 54
2θ = 41.23°, 2.190 Å, intensity 34
2θ = 41.84°, 2.159 Å, intensity 84
2θ = 42.80°, 2.113 Å, intensity 100
2θ = 44.87°, 2.020 Å, intensity 44
2θ = 58.98°, 1.566 Å, intensity 25
2θ = 62.56°, 1.485 Å, intensity 19
2θ = 68.32°, 1.373 Å, intensity 24
2θ = 81.31°, 1.183 Å, intensity 24

a = 5.1083 Å, b = 8.5061 Å, c = 4.0399 Å
α = 90.00°, β = 90.00°, γ = 90.00°
Sites, in units of the cell vectors:
Nd  0.0000  0.0000  0.0000
Nd  0.5000  0.5000  0.0000
Al  0.0000  0.5000  0.5000
Al  0.5000  0.0000  0.5000
Ni  0.0000  0.3329  0.0000
Ni  0.0000  0.6671  0.0000
Ni  0.2500  0.2500  0.5000
Ni  0.2500  0.7500  0.5000
Ni  0.5000  0.1671  0.0000
Ni  0.5000  0.8329  0.0000
Ni  0.7500  0.2500  0.5000
Ni  0.7500  0.7500  0.5000

=====

No. 3
Structure and computed X-ray diffraction stick pattern of Mg5Tl2 (a GGA-PBE-relaxed structure; Cu Kα (λ = 1.5418 Å)).
Kinematic intensities with the Lorentz-polarization factor, no thermal factor.

Peak list (12 most intense, 10° ≤ 2θ ≤ 90°, in order of rising 2θ)
2θ = 22.31°, 3.984 Å, intensity 100
2θ = 23.87°, 3.728 Å, intensity 19
2θ = 24.74°, 3.599 Å, intensity 19
2θ = 28.63°, 3.118 Å, intensity 15
2θ = 34.65°, 2.589 Å, intensity 29
2θ = 37.61°, 2.392 Å, intensity 25
2θ = 38.19°, 2.357 Å, intensity 25
2θ = 41.06°, 2.198 Å, intensity 25
2θ = 42.14°, 2.144 Å, intensity 25
2θ = 45.54°, 1.992 Å, intensity 13
2θ = 47.11°, 1.929 Å, intensity 15
2θ = 59.33°, 1.558 Å, intensity 15

a = 8.6848 Å, b = 8.6848 Å, c = 8.6848 Å
α = 129.16°, β = 68.06°, γ = 137.92°
Sites, in units of the cell vectors:
Mg  0.0158  0.2500  0.7658
Mg  0.0845  0.6594  0.7440
Mg  0.2500  0.2500  0.0000
Mg  0.4155  0.1594  0.5749
Mg  0.4842  0.2500  0.2342
Mg  0.5158  0.7500  0.7658
Mg  0.5845  0.8406  0.4251
Mg  0.7500  0.7500  0.0000
Mg  0.9155  0.3406  0.2560
Mg  0.9842  0.7500  0.2342
Tl  0.1229  0.2658  0.3888
Tl  0.3771  0.7658  0.1429
Tl  0.6229  0.2342  0.8571
Tl  0.8771  0.7342  0.6112